[1]
This entry pairs a crystal structure of NaNi2Mo2H3O10 with its calculated powder diffraction line list. Radiation: copper Kα. Structure: a crystal structure in Alexandria, relaxed with PBE+U.
Neutral-atom scattering factors, no anomalous dispersion.

Atomic structure:
```
NaNi2Mo2H3O10
1.0
4.700 -3.185 0.000
4.700 3.185 0.000
-3.383 0.000 6.897
Na Ni Mo H O
1 2 2 3 10
Direct
0.000 0.000 0.000 Na
0.000 0.500 0.500 Ni
0.500 0.000 0.500 Ni
0.421 0.421 0.216 Mo
0.579 0.579 0.784 Mo
0.000 0.000 0.500 H
0.181 0.181 0.721 H
0.819 0.819 0.279 H
0.146 0.146 0.579 O
0.230 0.687 0.756 O
0.263 0.263 0.981 O
0.313 0.770 0.244 O
0.330 0.330 0.387 O
0.670 0.670 0.613 O
0.687 0.230 0.756 O
0.737 0.737 0.019 O
0.770 0.313 0.244 O
0.854 0.854 0.421 O
```

Peak list (6 most intense, 2θ from 15° to 90°, low angle first)
Position (°2θ), Rel. int.
17.4, 100
25.1, 85
27.1, 73
29.3, 66
34.2, 85
52.6, 45

=====

[2]
This entry pairs a crystal structure of NaZnMoHO5 with its calculated powder diffraction line list. Radiation: copper Kα. Structure: a crystal structure in Alexandria, relaxed with PBE+U.
Neutral-atom scattering factors, no anomalous dispersion.

Atomic structure:
```
NaZnMoHO5
1.0
7.937 0.000 0.000
0.000 6.253 0.000
0.000 0.000 9.409
Na Zn Mo H O
4 4 4 4 20
Direct
0.144 0.250 0.192 Na
0.356 0.750 0.692 Na
0.644 0.250 0.308 Na
0.856 0.750 0.808 Na
0.000 0.000 0.500 Zn
0.000 0.500 0.500 Zn
0.500 0.000 0.000 Zn
0.500 0.500 0.000 Zn
0.119 0.250 0.833 Mo
0.381 0.750 0.333 Mo
0.619 0.250 0.667 Mo
0.881 0.750 0.167 Mo
0.245 0.250 0.481 H
0.255 0.750 0.981 H
0.745 0.250 0.019 H
0.755 0.750 0.519 H
0.053 0.750 0.046 O
0.109 0.015 0.723 O
0.109 0.485 0.723 O
0.131 0.250 0.438 O
0.190 0.750 0.442 O
0.310 0.250 0.942 O
0.369 0.750 0.938 O
0.391 0.515 0.223 O
0.391 0.985 0.223 O
0.447 0.250 0.546 O
0.553 0.750 0.454 O
0.609 0.015 0.777 O
0.609 0.485 0.777 O
0.631 0.250 0.062 O
0.690 0.750 0.058 O
0.810 0.250 0.558 O
0.869 0.750 0.562 O
0.891 0.515 0.277 O
0.891 0.985 0.277 O
0.947 0.250 0.954 O
```

Peak list (6 most intense, 2θ from 15° to 90°, low angle first)
Position (°2θ), Rel. int.
17.0, 89
26.2, 53
26.6, 88
30.6, 85
32.2, 100
54.0, 66